This entry pairs a crystal structure of Be3IrRh with its theoretical powder diffractogram. Radiation: Cu Kα, 1.54184 Å. Structure: a PBE-relaxed structure.
Kinematic intensities with the Lorentz-polarization factor, no thermal factor.

Cell and atoms:
```
Be3IrRh
1.0
4.0962 0.0000 0.0000
0.0000 4.0962 0.0000
0.0000 0.0000 4.0962
Be Ir Rh
3 1 1
direct
0.0000 0.0000 0.5000 Be
0.0000 0.5000 0.0000 Be
0.5000 0.0000 0.0000 Be
0.0000 0.0000 0.0000 Ir
0.5000 0.5000 0.5000 Rh
```

The 10 most intense peaks (10 to 80 degrees two-theta), sorted by position:
Position (°2θ)  d (Å)  I/Imax
21.70  4.096  11
30.87  2.896  100
38.05  2.365  2
44.22  2.048  22
49.77  1.832  5
54.90  1.672  40
64.32  1.448  14
68.75  1.365  3
73.05  1.295  17
77.25  1.235  1

---

This entry pairs a crystal structure of BeIrRh2 with its theoretical powder diffractogram. Radiation: Cu Kα, 1.54184 Å. Structure: a PBE-relaxed structure.
Kinematic intensities with the Lorentz-polarization factor, no thermal factor.

Cell and atoms:
```
BeIrRh2
1.0
2.7579 0.0000 0.0000
0.0000 2.7579 0.0000
0.0000 0.0000 6.6318
Be Ir Rh
1 1 2
direct
0.0000 0.0000 0.0000 Be
0.5000 0.5000 0.2118 Ir
0.0000 0.0000 0.4993 Rh
0.5000 0.5000 0.7917 Rh
```

The 10 most intense peaks (10 to 80 degrees two-theta), sorted by position:
Position (°2θ)  d (Å)  I/Imax
13.35  6.632  21
26.89  3.316  14
32.46  2.758  25
35.24  2.546  44
40.82  2.211  19
42.64  2.120  100
46.57  1.950  46
63.63  1.462  21
67.98  1.379  15
75.22  1.263  11

---

This entry pairs a crystal structure of BeIrRh with its theoretical powder diffractogram. Radiation: Cu Kα, 1.54184 Å. Structure: a PBE-relaxed structure.
Kinematic intensities with the Lorentz-polarization factor, no thermal factor.

Cell and atoms:
```
BeIrRh
1.0
-1.3872 1.3872 4.7115
1.3872 -1.3872 4.7115
1.3872 1.3872 -4.7115
Be Ir Rh
1 1 1
direct
0.0000 0.0000 0.0000 Be
0.3556 0.3556 0.0000 Ir
0.6489 0.6489 0.0000 Rh
```

The 10 most intense peaks (10 to 80 degrees two-theta), sorted by position:
Position (°2θ)  d (Å)  I/Imax
18.83  4.712  30
33.68  2.661  87
38.20  2.356  28
43.52  2.079  100
46.28  1.962  48
61.51  1.507  28
67.53  1.387  15
77.62  1.230  16
77.92  1.226  12
79.07  1.211  18

---

This entry pairs a crystal structure of YBeIrRh2 with its theoretical powder diffractogram. Radiation: Cu Kα, 1.54184 Å. Structure: a PBE-relaxed structure.
Kinematic intensities with the Lorentz-polarization factor, no thermal factor.

Cell and atoms:
```
YBeIrRh2
1.0
4.2586 0.0000 0.0000
0.0000 4.2586 0.0000
0.0000 0.0000 4.2775
Y Be Ir Rh
1 1 1 2
direct
0.0000 0.0000 0.0000 Y
0.5000 0.5000 0.5000 Be
0.5000 0.5000 0.0000 Ir
0.0000 0.5000 0.5000 Rh
0.5000 0.0000 0.5000 Rh
```

The 10 most intense peaks (10 to 80 degrees two-theta), sorted by position:
Position (°2θ)  d (Å)  I/Imax
20.85  4.261  11
29.62  3.016  8
36.49  2.462  100
42.26  2.139  17
42.45  2.129  34
61.45  1.509  23
61.60  1.506  11
73.49  1.289  13
73.76  1.285  25
77.54  1.231  11

---

This entry pairs a crystal structure of Be2IrRu with its theoretical powder diffractogram. Radiation: Cu Kα, 1.54184 Å. Structure: a PBE-relaxed structure.
Kinematic intensities with the Lorentz-polarization factor, no thermal factor.

Cell and atoms:
```
Be2IrRu
1.0
3.9524 0.0000 0.0000
0.0000 2.7989 0.0000
0.0000 0.0000 7.9440
Be Ir Ru
4 2 2
direct
0.2500 0.0000 0.1310 Be
0.2500 0.0000 0.6409 Be
0.7500 0.0000 0.3591 Be
0.7500 0.0000 0.8690 Be
0.2500 0.5000 0.8758 Ir
0.7500 0.5000 0.1242 Ir
0.2500 0.5000 0.3897 Ru
0.7500 0.5000 0.6103 Ru
```

The 10 most intense peaks (10 to 80 degrees two-theta), sorted by position:
Position (°2θ)  d (Å)  I/Imax
11.14  7.944  13
25.17  3.539  7
31.95  2.801  100
45.68  1.986  14
45.85  1.979  72
56.85  1.620  13
57.05  1.614  13
66.81  1.400  14
75.99  1.252  22
76.12  1.250  6

---

This entry pairs a crystal structure of Sc6BeIr5 with its theoretical powder diffractogram. Radiation: Cu Kα, 1.54184 Å. Structure: a PBE-relaxed structure.
Kinematic intensities with the Lorentz-polarization factor, no thermal factor.

Cell and atoms:
```
Sc6BeIr5
1.0
-2.2936 3.1755 6.9087
2.2936 -3.1755 6.9087
2.2936 3.1755 -6.9087
Sc Be Ir
6 1 5
direct
0.0831 0.3339 0.7492 Sc
0.2487 0.0000 0.2487 Sc
0.4153 0.6661 0.7492 Sc
0.5847 0.3339 0.2508 Sc
0.7513 0.0000 0.7513 Sc
0.9169 0.6661 0.2508 Sc
0.0000 0.5000 0.5000 Be
0.1655 0.1655 0.0000 Ir
0.3335 0.8335 0.5000 Ir
0.5000 0.5000 0.0000 Ir
0.6665 0.1665 0.5000 Ir
0.8345 0.8345 0.0000 Ir
```

The 10 most intense peaks (10 to 80 degrees two-theta), sorted by position:
Position (°2θ)  d (Å)  I/Imax
15.35  5.771  11
27.44  3.250  41
28.10  3.176  19
39.12  2.303  26
39.28  2.294  26
39.68  2.271  100
48.85  1.864  9
56.64  1.625  17
71.26  1.323  17
71.48  1.320  18

---

This entry pairs a crystal structure of Y2BeSiIr6 with its theoretical powder diffractogram. Radiation: Cu Kα, 1.54184 Å. Structure: a PBE-relaxed structure.
Kinematic intensities with the Lorentz-polarization factor, no thermal factor.

Cell and atoms:
```
Y2BeSiIr6
1.0
-3.0909 3.0990 4.3751
3.0909 -3.0990 4.3751
3.0909 3.0990 -4.3751
Y Be Si Ir
2 1 1 6
direct
0.2500 0.2500 0.0000 Y
0.7500 0.7500 0.0000 Y
0.5000 0.0000 0.5000 Be
0.0000 0.5000 0.5000 Si
0.2587 0.2414 0.5001 Ir
0.2587 0.7586 0.0173 Ir
0.2587 0.7587 0.5000 Ir
0.7413 0.2413 0.5000 Ir
0.7413 0.2414 0.9827 Ir
0.7413 0.7586 0.4999 Ir
```

The 10 most intense peaks (10 to 80 degrees two-theta), sorted by position:
Position (°2θ)  d (Å)  I/Imax
20.29  4.376  10
35.53  2.527  100
41.26  2.188  55
46.39  1.957  4
59.75  1.548  31
59.85  1.545  6
71.45  1.320  19
71.55  1.319  19
75.14  1.264  6
75.29  1.262  6

---

This entry pairs a crystal structure of YBeSi2Ir with its theoretical powder diffractogram. Radiation: Cu Kα, 1.54184 Å. Structure: a PBE-relaxed structure.
Kinematic intensities with the Lorentz-polarization factor, no thermal factor.

Cell and atoms:
```
YBeSi2Ir
1.0
-1.9465 1.9465 5.1690
1.9465 -1.9465 5.1690
1.9465 1.9465 -5.1690
Y Be Si Ir
1 1 2 1
direct
0.0000 0.0000 0.0000 Y
0.7500 0.2500 0.5000 Be
0.3836 0.3836 0.0000 Si
0.6164 0.6164 0.0000 Si
0.2500 0.7500 0.5000 Ir
```

The 10 most intense peaks (10 to 80 degrees two-theta), sorted by position:
Position (°2θ)  d (Å)  I/Imax
17.15  5.169  15
24.43  3.643  100
34.75  2.581  72
37.00  2.430  83
46.66  1.946  29
49.94  1.826  22
53.36  1.717  25
59.47  1.554  37
63.72  1.461  14
70.74  1.332  15